This entry pairs a crystal structure of SiO2 with its simulated powder X-ray diffraction pattern. Radiation: CuKα. Structure: a PBE-relaxed structure.
Intensities are scaled so that the largest is 1000.

Principal peaks in the range 10 to 90 degrees two-theta, low angle first:
2theta	d_spacing	I/Imax	h k l
12.3	7.173	559	0 2 0
12.6	7.040	1000	1 0 1
22.0	4.036	701	1 2 3
23.2	3.826	481	0 3 3
24.8	3.590	852	0 4 0
25.3	3.520	659	2 0 2

Cell and atoms:
```
data_SiO2
_cell_length_a 7.5712
_cell_length_b 14.3470
_cell_length_c 19.1350
_cell_angle_alpha 90.00
_cell_angle_beta 90.00
_cell_angle_gamma 90.00
_space_group_name_H-M_alt 'I m m m'
_space_group_IT_number 71
_space_group_name_Hall '-I 2 2'
loop_
_atom_site_label
_atom_site_fract_x
_atom_site_fract_y
_atom_site_fract_z
_atom_site_occupancy
Si1 0.0000 0.0000 0.1539 1
Si2 0.0000 0.2009 0.0837 1
Si3 0.2064 0.2019 0.3248 1
Si4 0.2064 0.5000 0.2266 1
O1 0.0000 0.0912 0.1043 1
O2 0.0000 0.2112 0.0000 1
O3 0.0000 0.2175 0.3442 1
O4 0.0000 0.5000 0.2500 1
O5 0.1764 0.0000 0.2024 1
O6 0.1765 0.2508 0.1141 1
O7 0.2499 0.0910 0.3209 1
O8 0.2500 0.2500 0.2500 1
```